Record 1
For Ho8AlBi2, the PBE geometry in Alexandria gives the theoretical X-ray powder pattern in this record (Cu Kα X-rays).

Largest 12 diffraction maxima, sorted by position, 2θ = 10–90°:
27.87 deg, I 22; 29.58 deg, I 74; 31.70 deg, I 100; 32.79 deg, I 25; 34.39 deg, I 14; 34.79 deg, I 20; 34.91 deg, I 19; 35.12 deg, I 54; 37.75 deg, I 25; 50.37 deg, I 15; 60.88 deg, I 16; 62.97 deg, I 15

Cell and atoms:
a b c (Å): 9.9304 9.9304 6.7803
angles (deg): 102.34 102.34 29.82
Atoms (fractional coordinates):
Ho 0.0130 0.0130 0.2671
Ho 0.2141 0.2141 0.8418
Ho 0.3453 0.3453 0.4725
Ho 0.4106 0.4106 0.0204
Ho 0.5894 0.5894 0.9796
Ho 0.6547 0.6547 0.5275
Ho 0.7859 0.7859 0.1582
Ho 0.9870 0.9870 0.7329
Al 0.5000 0.5000 0.5000
Bi 0.1781 0.1781 0.2794
Bi 0.8219 0.8219 0.7206

Record 2
For AlInBi, the PBE geometry in Alexandria gives the theoretical X-ray powder pattern in this record (Cu Kα X-rays).

Largest 12 diffraction maxima, sorted by position, 2θ = 10–90°:
11.62 deg, I 49; 23.35 deg, I 70; 26.61 deg, I 60; 28.08 deg, I 36; 29.18 deg, I 59; 29.97 deg, I 100; 31.14 deg, I 89; 31.90 deg, I 40; 35.37 deg, I 47; 38.49 deg, I 42; 39.60 deg, I 62; 41.25 deg, I 34

Cell and atoms:
a b c (Å): 3.2807 6.5844 7.7388
angles (deg): 91.83 99.89 91.18
Atoms (fractional coordinates):
Al 0.0000 0.0000 0.0000
Al 0.4855 0.6650 0.9913
In 0.1748 0.7855 0.3509
In 0.8456 0.5850 0.6727
Bi 0.5756 0.3195 0.2099
Bi 0.8271 0.1109 0.6403

Record 3
For AlInBi, the PBE geometry in Alexandria gives the theoretical X-ray powder pattern in this record (Cu Kα X-rays).

Largest 12 diffraction maxima, sorted by position, 2θ = 10–90°:
22.05 deg, I 31; 22.29 deg, I 49; 27.99 deg, I 18; 28.19 deg, I 100; 29.73 deg, I 62; 29.91 deg, I 22; 37.47 deg, I 26; 40.57 deg, I 23; 41.43 deg, I 66; 51.10 deg, I 28; 54.95 deg, I 26; 63.73 deg, I 23

Cell and atoms:
a b c (Å): 9.0152 9.0152 4.4476
angles (deg): 90.00 90.00 90.00
Atoms (fractional coordinates):
Al 0.1986 0.7024 0.0000
Al 0.2976 0.1986 0.5000
Al 0.7024 0.8014 0.5000
Al 0.8014 0.2976 0.0000
In 0.3283 0.4140 0.0000
In 0.4140 0.6717 0.5000
In 0.5860 0.3283 0.5000
In 0.6717 0.5860 0.0000
Bi 0.0016 0.3247 0.5000
Bi 0.3247 0.9984 0.0000
Bi 0.6753 0.0016 0.0000
Bi 0.9984 0.6753 0.5000

Record 4
For KLaAlBiO6, the PBE geometry in Alexandria gives the theoretical X-ray powder pattern in this record (Cu Kα X-rays).

Largest 12 diffraction maxima, sorted by position, 2θ = 10–90°:
19.14 deg, I 58; 22.13 deg, I 7; 31.50 deg, I 100; 37.12 deg, I 39; 45.15 deg, I 33; 49.46 deg, I 19; 56.09 deg, I 40; 59.83 deg, I 13; 65.76 deg, I 20; 69.19 deg, I 12; 74.74 deg, I 18; 86.53 deg, I 7

Cell and atoms:
a b c (Å): 5.6800 5.6800 5.6800
angles (deg): 60.00 60.00 60.00
Atoms (fractional coordinates):
K 0.0000 0.0000 0.0000
La 0.5000 0.5000 0.5000
Al 0.7500 0.7500 0.7500
Bi 0.2500 0.2500 0.2500
O 0.5116 0.5116 0.9884
O 0.5116 0.9884 0.5116
O 0.5116 0.9884 0.9884
O 0.9884 0.5116 0.5116
O 0.9884 0.5116 0.9884
O 0.9884 0.9884 0.5116

Record 5
For KAl2Bi2O7, the PBE geometry in Alexandria gives the theoretical X-ray powder pattern in this record (Cu Kα X-rays).

Largest 12 diffraction maxima, sorted by position, 2θ = 10–90°:
10.80 deg, I 39; 19.32 deg, I 84; 23.07 deg, I 78; 25.53 deg, I 86; 31.26 deg, I 100; 33.18 deg, I 25; 45.96 deg, I 52; 50.99 deg, I 19; 52.29 deg, I 23; 55.60 deg, I 26; 55.66 deg, I 20; 65.20 deg, I 20

Cell and atoms:
a b c (Å): 8.8298 8.8298 8.8298
angles (deg): 37.80 37.80 37.80
Atoms (fractional coordinates):
K 0.0000 0.0000 0.0000
Al 0.4286 0.4286 0.4286
Al 0.5714 0.5714 0.5714
Bi 0.2199 0.2199 0.2199
Bi 0.7801 0.7801 0.7801
O 0.0867 0.4612 0.6684
O 0.3316 0.5388 0.9132
O 0.4612 0.6684 0.0868
O 0.5000 0.5000 0.5000
O 0.5388 0.9132 0.3316
O 0.6684 0.0868 0.4612
O 0.9132 0.3316 0.5388

Record 6
For Li2Al2Bi, the PBE geometry in Alexandria gives the theoretical X-ray powder pattern in this record (Cu Kα X-rays).

Largest 12 diffraction maxima, sorted by position, 2θ = 10–90°:
15.71 deg, I 100; 22.28 deg, I 65; 28.08 deg, I 28; 31.72 deg, I 29; 32.34 deg, I 39; 35.58 deg, I 53; 36.14 deg, I 44; 42.87 deg, I 24; 45.93 deg, I 49; 59.41 deg, I 18; 66.62 deg, I 19; 69.98 deg, I 16

Cell and atoms:
a b c (Å): 7.9791 7.9791 3.1775
angles (deg): 90.00 90.00 90.00
Atoms (fractional coordinates):
Li 0.1783 0.3217 0.0000
Li 0.3217 0.8217 0.0000
Li 0.6783 0.1783 0.0000
Li 0.8217 0.6783 0.0000
Al 0.1171 0.6171 0.5000
Al 0.3829 0.1171 0.5000
Al 0.6171 0.8829 0.5000
Al 0.8829 0.3829 0.5000
Bi 0.0000 0.0000 0.5000
Bi 0.5000 0.5000 0.5000